For MnSb3S6, a cell relaxed with PBE gives the computed PXRD pattern in this record (λ = 1.5418 Å (Cu Kα)).
Peak positions follow from Bragg's law for the DFT cell and can differ from measured ones.

Cell and atoms:
Cell lengths 10.351, 13.471, 3.666 Å; angles 90.00, 90.00, 90.00 degrees
Space group Cmmm (No. 65)
Asymmetric unit:
Mn (0.000, 0.000, 0.000) [2 per cell]
Sb (0.000, 0.500, 0.000) [2 per cell]
Sb (0.250, 0.250, 0.500) [4 per cell]
S (0.000, 0.122, 0.500) [4 per cell]
S (0.197, 0.380, 0.000) [8 per cell]

Peak list (8 most intense, 15° ≤ 2θ ≤ 90°, by intensity)
| hkl | Position (°2θ) | I/Imax |
| --- | --- | --- |
| 2 2 0 | 21.65 | 100.0 |
| 2 4 1 | 40.32 | 74.4 |
| 0 2 1 | 27.70 | 55.0 |
| 4 2 1 | 44.94 | 28.0 |
| 4 0 0 | 34.66 | 22.2 |
| 1 1 1 | 26.63 | 16.1 |
| 2 6 0 | 43.96 | 15.9 |
| 2 2 2 | 54.85 | 15.8 |

For MnSbS4, a cell relaxed with PBE gives the computed PXRD pattern in this record (λ = 1.5418 Å (Cu Kα)).
Peak positions follow from Bragg's law for the DFT cell and can differ from measured ones.

Cell and atoms:
Cell lengths 6.220, 3.541, 6.837 Å; angles 90.00, 106.49, 90.00 degrees
Space group P2/m (No. 10)
Asymmetric unit:
Mn (0.000, 0.000, 0.000) [1 per cell]
Sb (0.500, 0.500, 0.000) [1 per cell]
S (0.207, 0.500, 0.199) [2 per cell]
S (0.231, 0.000, 0.785) [2 per cell]

Peak list (8 most intense, 15° ≤ 2θ ≤ 90°, by intensity)
| hkl | Position (°2θ) | I/Imax |
| --- | --- | --- |
| 1 1 1 | 34.22 | 100.0 |
| 2 0 -2 | 34.44 | 48.0 |
| 1 1 0 | 29.33 | 47.6 |
| 1 1 2 | 43.40 | 35.1 |
| 1 1 -3 | 47.57 | 31.7 |
| 3 1 -1 | 51.05 | 28.3 |
| 2 0 -1 | 29.17 | 22.8 |
| 2 0 -3 | 43.86 | 17.7 |

For Sm2Mn3Sb4S12, a cell relaxed with PBE gives the computed PXRD pattern in this record (λ = 1.5418 Å (Cu Kα)).
Peak positions follow from Bragg's law for the DFT cell and can differ from measured ones.

Cell and atoms:
Cell lengths 20.008, 3.881, 14.854 Å; angles 90.00, 126.29, 90.00 degrees
Space group C2/m (No. 12)
Asymmetric unit:
Sm (0.241, 0.000, 0.138) [4 per cell]
Mn (0.000, 0.000, 0.000) [2 per cell]
Mn (0.196, 0.000, 0.376) [4 per cell]
Sb (0.045, 0.500, 0.819) [4 per cell]
Sb (0.108, 0.000, 0.548) [4 per cell]
S (0.054, 0.000, 0.196) [4 per cell]
S (0.092, 0.500, 0.653) [4 per cell]
S (0.103, 0.500, 0.026) [4 per cell]
S (0.160, 0.500, 0.456) [4 per cell]
S (0.172, 0.000, 0.900) [4 per cell]
S (0.241, 0.500, 0.290) [4 per cell]

Peak list (8 most intense, 15° ≤ 2θ ≤ 90°, by intensity)
| hkl | Position (°2θ) | I/Imax |
| --- | --- | --- |
| 5 1 -1 | 33.38 | 100.0 |
| 1 1 -2 | 26.11 | 52.6 |
| 5 1 -4 | 34.92 | 48.4 |
| 4 0 1 | 27.20 | 47.5 |
| 1 1 -5 | 41.80 | 39.2 |
| 2 0 -4 | 24.86 | 35.3 |
| 5 1 -3 | 32.70 | 33.7 |
| 1 1 1 | 25.72 | 31.4 |

For Sr2MnSbS5, a cell relaxed with PBE gives the computed PXRD pattern in this record (λ = 1.5418 Å (Cu Kα)).
Peak positions follow from Bragg's law for the DFT cell and can differ from measured ones.

Cell and atoms:
Cell lengths 3.817, 17.156, 13.996 Å; angles 90.00, 90.00, 90.00 degrees
Space group Cmc2_1 (No. 36)
Asymmetric unit:
Sr (0.000, 0.093, 0.000) [4 per cell]
Sr (0.000, 0.113, 0.679) [4 per cell]
Mn (0.000, 0.227, 0.462) [4 per cell]
Sb (0.000, 0.428, 0.811) [4 per cell]
S (0.000, 0.086, 0.440) [4 per cell]
S (0.000, 0.242, 0.863) [4 per cell]
S (0.000, 0.265, 0.076) [4 per cell]
S (0.000, 0.430, 0.339) [4 per cell]
S (0.000, 0.484, 0.626) [4 per cell]

Peak list (8 most intense, 15° ≤ 2θ ≤ 90°, by intensity)
| hkl | Position (°2θ) | I/Imax |
| --- | --- | --- |
| 0 2 3 | 21.68 | 100.0 |
| 1 1 4 | 35.19 | 92.5 |
| 1 1 2 | 27.11 | 79.4 |
| 0 6 0 | 31.28 | 58.3 |
| 1 3 1 | 28.84 | 49.9 |
| 1 5 2 | 37.52 | 45.2 |
| 1 1 5 | 40.29 | 40.0 |
| 1 7 2 | 45.88 | 36.3 |

For Sc3MnS6, a cell relaxed with PBE gives the computed PXRD pattern in this record (λ = 1.5418 Å (Cu Kα)).
Peak positions follow from Bragg's law for the DFT cell and can differ from measured ones.

Cell and atoms:
Cell lengths 6.3673, 6.3673, 17.4093 Å; angles 90.00, 90.00, 120.00 degrees
Space group R3 (No. 146, hexagonal axes)
Asymmetric unit:
Sc (0.0000, 0.0000, 0.0000) [3 per cell]
Sc (0.0000, 0.0000, 0.1906) [3 per cell]
Sc (0.0000, 0.0000, 0.4988) [3 per cell]
Mn (0.0000, 0.0000, 0.6889) [3 per cell]
S (0.0254, 0.3414, 0.7615) [9 per cell]
S (0.0332, 0.6728, 0.2651) [9 per cell]

Peak list (8 most intense, 15° ≤ 2θ ≤ 90°, by intensity)
| hkl | Position (°2θ) | I/Imax |
| --- | --- | --- |
| 2 -1 6 | 42.14 | 100.0 |
| 2 -1 3 | 32.07 | 89.4 |
| 3 0 0 | 49.60 | 56.8 |
| 0 1 2 | 19.05 | 49.7 |
| 1 0 4 | 26.08 | 40.9 |
| 0 2 4 | 38.66 | 27.0 |
| 2 2 6 | 67.06 | 21.0 |
| 3 -1 4 | 48.42 | 20.9 |

For ScMnS, a cell relaxed with PBE gives the computed PXRD pattern in this record (λ = 1.5418 Å (Cu Kα)).
Peak positions follow from Bragg's law for the DFT cell and can differ from measured ones.

Cell and atoms:
Cell lengths 3.7151, 3.7151, 30.6554 Å; angles 90.00, 90.00, 120.00 degrees
Space group R-3m (No. 166, hexagonal axes)
Asymmetric unit:
Sc (0.0000, 0.0000, 0.0708) [6 per cell]
Mn (0.0000, 0.0000, 0.3299) [6 per cell]
S (0.0000, 0.0000, 0.2229) [6 per cell]

Peak list (8 most intense, 15° ≤ 2θ ≤ 90°, by intensity)
| hkl | Position (°2θ) | I/Imax |
| --- | --- | --- |
| 1 0 7 | 34.59 | 100.0 |
| 1 1 0 | 49.04 | 66.3 |
| 0 1 8 | 36.46 | 46.2 |
| 0 0 9 | 26.16 | 27.9 |
| 0 1 11 | 42.93 | 21.8 |
| 0 1 2 | 28.34 | 21.5 |
| 1 1 3 | 49.90 | 18.3 |
| 0 1 5 | 31.40 | 18.0 |

For Sc2MnTl3S6, a cell relaxed with PBE gives the computed PXRD pattern in this record (λ = 1.5418 Å (Cu Kα)).
Peak positions follow from Bragg's law for the DFT cell and can differ from measured ones.

Cell and atoms:
Cell lengths 6.580, 11.127, 7.801 Å; angles 90.00, 107.09, 90.00 degrees
Space group C2/m (No. 12)
Asymmetric unit:
Sc (0.000, 0.165, 0.000) [4 per cell]
Mn (0.000, 0.500, 0.000) [2 per cell]
Tl (0.000, 0.000, 0.500) [2 per cell]
Tl (0.000, 0.328, 0.500) [4 per cell]
S (0.217, 0.342, 0.179) [8 per cell]
S (0.234, 0.000, 0.199) [4 per cell]

Peak list (8 most intense, 15° ≤ 2θ ≤ 90°, by intensity)
| hkl | Position (°2θ) | I/Imax |
| --- | --- | --- |
| 1 3 1 | 32.08 | 100.0 |
| 1 3 -3 | 42.65 | 57.4 |
| 2 0 -2 | 31.37 | 54.9 |
| 2 0 1 | 34.10 | 50.7 |
| 1 3 -1 | 28.71 | 47.9 |
| 0 0 2 | 23.87 | 46.0 |
| 1 3 0 | 27.93 | 39.9 |
| 3 3 -1 | 48.21 | 33.2 |

For Mn3SeS3, a cell relaxed with PBE gives the computed PXRD pattern in this record (λ = 1.5418 Å (Cu Kα)).
Peak positions follow from Bragg's law for the DFT cell and can differ from measured ones.

Cell and atoms:
Cell lengths 10.056, 10.056, 10.056 Å; angles 90.00, 90.00, 90.00 degrees
Space group I-43m (No. 217)
Asymmetric unit:
Mn (0.125, 0.125, 0.626) [24 per cell]
Se (0.127, 0.127, 0.873) [8 per cell]
S (0.116, 0.375, 0.625) [24 per cell]

Peak list (8 most intense, 15° ≤ 2θ ≤ 90°, by intensity)
| hkl | Position (°2θ) | I/Imax |
| --- | --- | --- |
| 4 0 0 | 35.71 | 100.0 |
| 4 4 0 | 51.40 | 64.7 |
| 2 1 1 | 21.65 | 35.7 |
| 8 4 0 | 86.58 | 27.0 |
| 4 4 4 | 64.16 | 21.0 |
| 3 2 1 | 33.34 | 19.0 |
| 8 0 0 | 75.65 | 9.5 |
| 5 2 1 | 49.65 | 9.5 |